The following is a computed X-ray diffraction stick pattern of As7Os6. It was derived from a structure optimized by DFT (PBE), using Cu Kα X-rays.
Intensities are scaled so that the largest is 100.

The 10 most intense peaks (2θ = 10–80°), low angle first:
hkl 0 1 8, 33.41 deg, rel. 44
hkl 1 1 0, 34.00 deg, rel. 100
hkl 0 2 1, 39.61 deg, rel. 28
hkl 1 1 6, 39.81 deg, rel. 79
hkl 0 2 7, 46.43 deg, rel. 21
hkl 2 0 8, 48.41 deg, rel. 38
hkl 3 0 0, 60.85 deg, rel. 20
hkl 3 0 6, 64.77 deg, rel. 19
hkl 2 2 0, 71.57 deg, rel. 32
hkl 1 1 18, 73.67 deg, rel. 30

Structure:
a = 5.2735 Å, b = 5.2735 Å, c = 26.5124 Å
α = 90.00°, β = 90.00°, γ = 120.00°
Space group R-3m (No. 166, hexagonal axes)
Unique sites:
As  0.0000  0.0000  0.0000 [3 per cell]
As  0.0033  0.5017  0.4189 [18 per cell]
Os  0.0000  0.0000  0.1723 [6 per cell]
Os  0.0000  0.0000  0.3294 [6 per cell]
Os  0.0000  0.0000  0.4470 [6 per cell]